This entry pairs a crystal structure of FeCl2 with its calculated X-ray powder pattern. Radiation: Cu Kα (weighted mean of Kα1 and Kα2). Structure: a DFT-relaxed cell (GGA-PBE, the Materials Project).

Peak list (10 most intense, 15° ≤ 2θ ≤ 90°, in order of rising 2θ)
2θ = 32.8°, I 100, hkl 1 0 1; 2θ = 41.6°, I 66, hkl 1 0 2; 2θ = 52.0°, I 30, hkl 1 1 0; 2θ = 53.7°, I 27, hkl 0 1 3; 2θ = 54.3°, I 15, hkl 1 1 1; 2θ = 62.9°, I 12, hkl 0 2 1; 2θ = 68.8°, I 13, hkl 0 2 2; 2θ = 78.1°, I 8, hkl 2 0 3; 2θ = 83.3°, I 12, hkl 1 1 4; 2θ = 86.0°, I 10, hkl 2 1 1

```
data_FeCl2
_symmetry_space_group_name_H-M 'P 1'
_symmetry_Int_Tables_number 1
_cell_length_a 3.5142
_cell_length_b 3.5142
_cell_length_c 6.1811
_cell_angle_alpha 90.00
_cell_angle_beta 90.00
_cell_angle_gamma 120.00
loop_
_symmetry_equiv_pos_as_xyz
'x,y,z'
loop_
_atom_site_label
_atom_site_type_symbol
_atom_site_fract_x
_atom_site_fract_y
_atom_site_fract_z
_atom_site_occupancy
Fe1 Fe 0.0000 0.0000 0.0000 1
Cl1 Cl 0.3333 0.6667 0.7726 1
Cl2 Cl 0.6667 0.3333 0.2274 1
```